Entry 1:
Computed powder X-ray diffraction pattern
Compound: V6Mo5
Radiation: copper Kα
Structure: a crystal structure in Alexandria, relaxed with GGA-PBE
No peak broadening, texture or thermal motion is included.

Principal peaks in the range 15 to 90 degrees two-theta, low angle first:
two_theta	Rel. int.
16.13	6
25.35	5
28.92	4
29.35	9
41.89	20
42.01	100
60.83	13
61.03	6
76.60	13
76.79	25

Structural model:
Cell: 4.313 6.073 12.904 Å, 90.00 90.00 90.00°
Space group Immm (No. 71)
Symmetry-distinct sites (fractional):
V 0.000 0.248 0.000
V 0.000 0.252 0.335
Mo 0.000 0.000 0.164
Mo 0.000 0.000 0.500
Mo 0.000 0.500 0.167



Entry 2:
Computed powder X-ray diffraction pattern
Compound: TiVBr2
Radiation: copper Kα
Structure: a crystal structure in Alexandria, relaxed with GGA-PBE
No peak broadening, texture or thermal motion is included.

Principal peaks in the range 15 to 90 degrees two-theta, low angle first:
two_theta	Rel. int.
30.53	27
31.01	85
31.57	100
35.31	83
41.47	39
46.55	97
49.33	25
54.80	58
70.73	19
74.69	22

Structural model:
Cell: 3.3504 3.3504 26.3536 Å, 90.00 90.00 120.00°
Space group R-3m (No. 166, hexagonal axes)
Symmetry-distinct sites (fractional):
Ti 0.0000 0.0000 0.0000
V 0.0000 0.0000 0.5000
Br 0.0000 0.0000 0.4011



Entry 3:
Computed powder X-ray diffraction pattern
Compound: Ca2DyEr
Radiation: copper Kα
Structure: a crystal structure in Alexandria, relaxed with GGA-PBE
No peak broadening, texture or thermal motion is included.

Principal peaks in the range 15 to 90 degrees two-theta, low angle first:
two_theta	Rel. int.
21.59	40
30.72	100
37.86	13
44.00	18
49.52	19
54.62	39
63.98	12
68.37	9
72.64	16
88.98	20

Structural model:
Cell: 8.232 8.232 8.232 Å, 90.00 90.00 90.00°
Space group Fm-3m (No. 225)
Symmetry-distinct sites (fractional):
Ca 0.250 0.250 0.250
Dy 0.000 0.000 0.000
Er 0.000 0.000 0.500



Entry 4:
Computed powder X-ray diffraction pattern
Compound: Nd6SnHg
Radiation: copper Kα
Structure: a crystal structure in Alexandria, relaxed with GGA-PBE
No peak broadening, texture or thermal motion is included.

Principal peaks in the range 15 to 90 degrees two-theta, low angle first:
two_theta	Rel. int.
31.29	100
36.21	34
36.43	17
52.14	12
52.31	24
62.07	28
62.37	14
65.27	12
85.29	6
85.56	12

Structural model:
Cell: 4.962 4.962 9.865 Å, 90.00 90.00 90.00°
Space group P4/mmm (No. 123)
Symmetry-distinct sites (fractional):
Nd 0.000 0.000 0.000
Nd 0.000 0.000 0.500
Nd 0.000 0.500 0.248
Sn 0.500 0.500 0.000
Hg 0.500 0.500 0.500



Entry 5:
Computed powder X-ray diffraction pattern
Compound: BiS4
Radiation: copper Kα
Structure: a crystal structure in Alexandria, relaxed with GGA-PBE
No peak broadening, texture or thermal motion is included.

Principal peaks in the range 15 to 90 degrees two-theta, low angle first:
two_theta	Rel. int.
17.02	100
25.23	38
27.83	30
28.00	55
29.96	49
30.72	48
34.77	36
35.47	75
45.97	23
47.87	29

Structural model:
Cell: 7.068 3.639 10.864 Å, 90.00 106.50 90.00°
Space group C2/m (No. 12)
Symmetry-distinct sites (fractional):
Bi 0.000 0.000 0.000
S 0.105 0.500 0.844
S 0.222 0.000 0.447



Entry 6:
Computed powder X-ray diffraction pattern
Compound: LiNbAlO4
Radiation: copper Kα
Structure: a crystal structure in Alexandria, relaxed with GGA-PBE
No peak broadening, texture or thermal motion is included.

Principal peaks in the range 15 to 90 degrees two-theta, low angle first:
two_theta	Rel. int.
18.17	100
20.34	46
30.35	38
34.36	38
35.10	92
41.35	15
43.03	27
48.04	28
57.04	18
61.20	32

Structural model:
Cell: 5.891 8.734 6.002 Å, 90.00 90.00 90.00°
Space group Cmcm (No. 63)
Symmetry-distinct sites (fractional):
Li 0.000 0.158 0.250
Nb 0.000 0.500 0.000
Al 0.000 0.151 0.750
O 0.000 0.274 0.518
O 0.234 0.018 0.750



Entry 7:
Computed powder X-ray diffraction pattern
Compound: CoCuAu
Radiation: copper Kα
Structure: a crystal structure in Alexandria, relaxed with GGA-PBE
No peak broadening, texture or thermal motion is included.

Principal peaks in the range 15 to 90 degrees two-theta, low angle first:
two_theta	Rel. int.
21.50	33
26.47	55
34.65	28
40.89	100
41.19	99
46.89	86
49.45	29
61.73	26
70.51	39
83.33	25

Structural model:
Cell: 2.726 3.686 8.267 Å, 90.00 90.00 90.00°
Space group Imm2 (No. 44)
Symmetry-distinct sites (fractional):
Co 0.000 0.000 0.000
Cu 0.000 0.000 0.650
Au 0.000 0.000 0.325



Entry 8:
Computed powder X-ray diffraction pattern
Compound: AgRhSe2
Radiation: copper Kα
Structure: a crystal structure in Alexandria, relaxed with GGA-PBE
No peak broadening, texture or thermal motion is included.

Principal peaks in the range 15 to 90 degrees two-theta, low angle first:
two_theta	Rel. int.
16.82	100
27.00	25
27.53	71
33.16	67
36.49	53
42.69	33
44.09	40
44.86	48
46.19	16
47.50	57

Structural model:
Cell: 8.275 10.544 5.572 Å, 90.00 130.51 90.00°
Space group C2/c (No. 15)
Symmetry-distinct sites (fractional):
Ag 0.000 0.033 0.250
Rh 0.000 0.492 0.250
Se 0.210 0.359 0.190